Starting from DFT lattice parameters and positions (PBE), the powder diffractogram of MgGa was computed for Cu Kα, 1.54184 Å.
Intensities are scaled so that the largest is 100.

Atomic structure:
```
data_MgGa
_chemical_formula_sum 'Mg2 Ga2'
_cell_length_a 4.9062
_cell_length_b 4.9062
_cell_length_c 5.3443
_cell_angle_alpha 90.00
_cell_angle_beta 90.00
_cell_angle_gamma 120.00
_space_group_name_H-M_alt 'P 63/m m c'
_space_group_IT_number 194
_space_group_name_Hall '-P 6c 2c'
loop_
_atom_site_label
_atom_site_type_symbol
_atom_site_fract_x
_atom_site_fract_y
_atom_site_fract_z
_atom_site_occupancy
Mg1 Mg 0.3333 0.6667 0.2500 1
Ga1 Ga 0.3333 0.6667 0.7500 1
```

Top 10 peaks for 2θ = 10–80°, in order of rising 2θ:
2θ = 20.91°, I 100, (1 0 0); 2θ = 26.81°, I 73, (1 0 1); 2θ = 33.54°, I 40, (0 0 2); 2θ = 36.63°, I 94, (1 1 0); 2θ = 39.85°, I 37, (1 0 2); 2θ = 42.55°, I 15, (2 0 0); 2θ = 45.97°, I 17, (2 0 1); 2θ = 50.51°, I 73, (1 1 2); 2θ = 65.96°, I 16, (3 0 0); 2θ = 76.06°, I 20, (3 0 2)